[1]
Calculated X-ray diffraction stick pattern
Compound: LaTb2NdY
Radiation: Cu Kα (weighted mean of Kα1 and Kα2)
Structure: a PBE-relaxed structure
No peak broadening, texture or thermal motion is included.

Structure:
a b c (Å): 8.462 11.692 7.245
angles (deg): 90.00 90.00 90.00
Space group Cmcm (No. 63)
Unique sites:
La 0.000 0.229 0.250 (multiplicity 4)
Tb 0.188 0.000 0.000 (multiplicity 8)
Nd 0.000 0.490 0.250 (multiplicity 4)
Y 0.000 0.225 0.750 (multiplicity 4)

Largest 6 diffraction maxima, in order of falling intensity, 2θ = 10–90°:
d/Å  I (rel.)
2.752  100
2.004  69
2.923  69
3.079  58
2.532  57
5.846  50

=====

[2]
Calculated X-ray diffraction stick pattern
Compound: CdIn4Ga5
Radiation: Cu Kα (weighted mean of Kα1 and Kα2)
Structure: a PBE-relaxed structure
No peak broadening, texture or thermal motion is included.

Structure:
a b c (Å): 9.245 9.249 5.429
angles (deg): 90.00 90.00 90.00
Space group Pmmn (No. 59, origin choice 2)
Unique sites:
Cd 0.250 0.250 0.197 (multiplicity 2)
In 0.070 0.750 0.597 (multiplicity 4)
In 0.250 0.067 0.706 (multiplicity 4)
Ga 0.082 0.523 0.206 (multiplicity 8)
Ga 0.250 0.750 0.055 (multiplicity 2)

Largest 6 diffraction maxima, in order of falling intensity, 2θ = 10–90°:
d/Å  I (rel.)
2.319  100
2.681  56
2.924  42
2.801  34
2.605  28
2.312  24

=====

[3]
Calculated X-ray diffraction stick pattern
Compound: Pm4Er4Sc3
Radiation: Cu Kα (weighted mean of Kα1 and Kα2)
Structure: a PBE-relaxed structure
No peak broadening, texture or thermal motion is included.

Structure:
a b c (Å): 3.411 5.550 17.703
angles (deg): 81.02 84.48 90.00
Space group P-1 (No. 2)
Unique sites:
Pm 0.089 0.090 0.321 (multiplicity 2)
Pm 0.231 0.730 0.039 (multiplicity 2)
Er 0.045 0.546 0.409 (multiplicity 2)
Er 0.178 0.179 0.142 (multiplicity 2)
Sc 0.366 0.365 0.769 (multiplicity 2)
Sc 0.500 0.000 0.500 (multiplicity 1)

Largest 6 diffraction maxima, in order of falling intensity, 2θ = 10–90°:
d/Å  I (rel.)
2.753  100
2.775  45
2.748  43
3.395  33
1.598  27
2.813  24

=====

[4]
Calculated X-ray diffraction stick pattern
Compound: Ga2ICl
Radiation: Cu Kα (weighted mean of Kα1 and Kα2)
Structure: a PBE-relaxed structure
No peak broadening, texture or thermal motion is included.

Structure:
a b c (Å): 7.834 30.385 4.703
angles (deg): 90.00 90.00 90.00
Space group Cmce (No. 64)
Unique sites:
Ga 0.000 0.116 0.083 (multiplicity 8)
Ga 0.250 0.120 0.750 (multiplicity 8)
I 0.000 0.186 0.457 (multiplicity 8)
Cl 0.000 0.062 0.431 (multiplicity 8)

Largest 6 diffraction maxima, in order of falling intensity, 2θ = 10–90°:
d/Å  I (rel.)
7.596  100
3.360  63
2.953  57
2.588  36
3.917  27
2.727  21

=====

[5]
Calculated X-ray diffraction stick pattern
Compound: PaAl6Fe3
Radiation: Cu Kα (weighted mean of Kα1 and Kα2)
Structure: a PBE-relaxed structure
No peak broadening, texture or thermal motion is included.

Structure:
a b c (Å): 5.068 5.235 6.528
angles (deg): 69.67 73.25 73.70
Space group P1 (No. 1)
Unique sites:
Pa 0.000 0.000 0.000 (multiplicity 1)
Al 0.036 0.464 0.520 (multiplicity 1)
Al 0.356 0.323 0.147 (multiplicity 1)
Al 0.484 0.707 0.321 (multiplicity 1)
Al 0.531 0.292 0.718 (multiplicity 1)
Al 0.637 0.700 0.840 (multiplicity 1)
Al 0.974 0.995 0.489 (multiplicity 1)
Fe 0.154 0.657 0.817 (multiplicity 1)
Fe 0.446 0.053 0.511 (multiplicity 1)
Fe 0.845 0.360 0.164 (multiplicity 1)

Largest 6 diffraction maxima, in order of falling intensity, 2θ = 10–90°:
d/Å  I (rel.)
4.178  100
5.982  76
2.214  58
4.754  58
2.743  57
2.263  54

=====

[6]
Calculated X-ray diffraction stick pattern
Compound: Pm12InNi5
Radiation: Cu Kα (weighted mean of Kα1 and Kα2)
Structure: a PBE-relaxed structure
No peak broadening, texture or thermal motion is included.

Structure:
a b c (Å): 9.594 9.867 10.213
angles (deg): 90.00 90.00 90.00
Space group Immm (No. 71)
Unique sites:
Pm 0.000 0.189 0.207 (multiplicity 8)
Pm 0.193 0.500 0.178 (multiplicity 8)
Pm 0.200 0.318 0.500 (multiplicity 8)
In 0.000 0.000 0.500 (multiplicity 2)
Ni 0.000 0.000 0.000 (multiplicity 2)
Ni 0.000 0.369 0.000 (multiplicity 4)
Ni 0.000 0.500 0.377 (multiplicity 4)

Largest 6 diffraction maxima, in order of falling intensity, 2θ = 10–90°:
d/Å  I (rel.)
2.853  100
2.657  71
2.673  69
3.044  45
2.595  39
1.576  37

=====

[7]
Calculated X-ray diffraction stick pattern
Compound: BaBiPb
Radiation: Cu Kα (weighted mean of Kα1 and Kα2)
Structure: a PBE-relaxed structure
No peak broadening, texture or thermal motion is included.

Structure:
a b c (Å): 5.315 9.526 9.586
angles (deg): 90.00 90.00 90.00
Space group Immm (No. 71)
Unique sites:
Ba 0.000 0.000 0.245 (multiplicity 4)
Bi 0.000 0.333 0.500 (multiplicity 4)
Pb 0.000 0.338 0.000 (multiplicity 4)

Largest 6 diffraction maxima, in order of falling intensity, 2θ = 10–90°:
d/Å  I (rel.)
3.334  100
2.726  74
3.378  47
1.800  44
4.793  38
2.657  35

=====

[8]
Calculated X-ray diffraction stick pattern
Compound: HgPtPbO4
Radiation: Cu Kα (weighted mean of Kα1 and Kα2)
Structure: a PBE-relaxed structure
No peak broadening, texture or thermal motion is included.

Structure:
a b c (Å): 5.979 6.669 11.192
angles (deg): 90.00 90.00 90.00
Space group Imma (No. 74)
Unique sites:
Hg 0.000 0.250 0.171 (multiplicity 4)
Pt 0.250 0.250 0.750 (multiplicity 4)
Pb 0.000 0.000 0.500 (multiplicity 4)
O 0.000 0.052 0.708 (multiplicity 8)
O 0.239 0.250 0.475 (multiplicity 8)

Largest 6 diffraction maxima, in order of falling intensity, 2θ = 10–90°:
d/Å  I (rel.)
2.865  100
2.650  100
3.165  93
2.818  88
1.742  61
3.484  48